No. 1
The following is a simulated powder X-ray diffraction pattern of NpSi3Pd10. It was derived from a DFT-relaxed cell (PBE, Alexandria), using Cu Kα (λ = 1.5418 Å).
Neutral-atom scattering factors, no anomalous dispersion.

Structural model:
```
data_NpSi3Pd10
_cell_length_a 8.669
_cell_length_b 8.669
_cell_length_c 8.669
_cell_angle_alpha 60.00
_cell_angle_beta 60.00
_cell_angle_gamma 60.00
_symmetry_space_group_name_H-M 'P 1'
_symmetry_Int_Tables_number 1
_symmetry_space_group_name_Hall 'P 1'
loop_
_atom_site_label
_atom_site_fract_x
_atom_site_fract_y
_atom_site_fract_z
Np1 0.250 0.250 0.250
Np2 0.750 0.750 0.750
Si1 0.236 0.236 0.764
Si2 0.236 0.764 0.236
Si3 0.236 0.764 0.764
Si4 0.764 0.236 0.236
Si5 0.764 0.236 0.764
Si6 0.764 0.764 0.236
Pd1 0.116 0.116 0.116
Pd2 0.116 0.116 0.651
Pd3 0.116 0.651 0.116
Pd4 0.155 0.500 0.500
Pd5 0.155 0.500 0.845
Pd6 0.155 0.845 0.500
Pd7 0.349 0.884 0.884
Pd8 0.500 0.155 0.500
Pd9 0.500 0.155 0.845
Pd10 0.500 0.500 0.155
Pd11 0.500 0.500 0.845
Pd12 0.500 0.845 0.155
Pd13 0.500 0.845 0.500
Pd14 0.651 0.116 0.116
Pd15 0.845 0.155 0.500
Pd16 0.845 0.500 0.155
Pd17 0.845 0.500 0.500
Pd18 0.884 0.349 0.884
Pd19 0.884 0.884 0.349
Pd20 0.884 0.884 0.884
```

Largest 12 diffraction maxima, most intense first, 10 to 90 degrees two-theta:
| d [Å] | Rel. int. |
| --- | --- |
| 2.359 | 100 |
| 2.741 | 77 |
| 2.072 | 50 |
| 2.502 | 46 |
| 2.167 | 43 |
| 1.445 | 39 |
| 1.848 | 34 |
| 1.251 | 28 |
| 6.130 | 25 |
| 1.487 | 25 |
| 1.346 | 13 |
| 1.138 | 13 |



No. 2
The following is a simulated powder X-ray diffraction pattern of Np4SnPd15. It was derived from a DFT-relaxed cell (PBE, Alexandria), using Cu Kα (λ = 1.5418 Å).
Neutral-atom scattering factors, no anomalous dispersion.

Structural model:
```
data_Np4SnPd15
_cell_length_a 4.126
_cell_length_b 4.126
_cell_length_c 20.610
_cell_angle_alpha 90.00
_cell_angle_beta 90.00
_cell_angle_gamma 90.00
_symmetry_space_group_name_H-M 'P 1'
_symmetry_Int_Tables_number 1
_symmetry_space_group_name_Hall 'P 1'
loop_
_atom_site_label
_atom_site_fract_x
_atom_site_fract_y
_atom_site_fract_z
Np1 0.000 0.000 0.101
Np2 0.000 0.000 0.304
Np3 0.000 0.000 0.696
Np4 0.000 0.000 0.899
Sn1 0.000 0.000 0.500
Pd1 0.000 0.500 0.000
Pd2 0.000 0.500 0.202
Pd3 0.000 0.500 0.403
Pd4 0.000 0.500 0.597
Pd5 0.000 0.500 0.798
Pd6 0.500 0.000 0.000
Pd7 0.500 0.000 0.202
Pd8 0.500 0.000 0.403
Pd9 0.500 0.000 0.597
Pd10 0.500 0.000 0.798
Pd11 0.500 0.500 0.101
Pd12 0.500 0.500 0.304
Pd13 0.500 0.500 0.500
Pd14 0.500 0.500 0.696
Pd15 0.500 0.500 0.899
```

Largest 12 diffraction maxima, most intense first, 10 to 90 degrees two-theta:
| d [Å] | Rel. int. |
| --- | --- |
| 2.382 | 100 |
| 2.062 | 49 |
| 1.244 | 37 |
| 1.458 | 32 |
| 1.191 | 11 |
| 4.125 | 10 |
| 2.917 | 9 |
| 1.845 | 5 |
| 1.684 | 4 |
| 1.375 | 3 |
| 1.304 | 2 |
| 1.103 | 2 |



No. 3
The following is a simulated powder X-ray diffraction pattern of Np2Sn5Pd3. It was derived from a DFT-relaxed cell (PBE, Alexandria), using Cu Kα (λ = 1.5418 Å).
Neutral-atom scattering factors, no anomalous dispersion.

Structural model:
```
data_Np2Sn5Pd3
_cell_length_a 13.614
_cell_length_b 13.614
_cell_length_c 7.264
_cell_angle_alpha 90.00
_cell_angle_beta 90.00
_cell_angle_gamma 160.58
_symmetry_space_group_name_H-M 'P 1'
_symmetry_Int_Tables_number 1
_symmetry_space_group_name_Hall 'P 1'
loop_
_atom_site_label
_atom_site_fract_x
_atom_site_fract_y
_atom_site_fract_z
Np1 0.022 0.978 0.500
Np2 0.327 0.673 0.512
Np3 0.673 0.327 0.012
Np4 0.978 0.022 0.000
Sn1 0.097 0.903 0.865
Sn2 0.206 0.794 0.303
Sn3 0.211 0.789 0.734
Sn4 0.381 0.619 0.994
Sn5 0.452 0.548 0.666
Sn6 0.548 0.452 0.166
Sn7 0.619 0.381 0.494
Sn8 0.789 0.211 0.234
Sn9 0.794 0.206 0.803
Sn10 0.903 0.097 0.365
Pd1 0.105 0.895 0.244
Pd2 0.280 0.720 0.024
Pd3 0.449 0.551 0.278
Pd4 0.551 0.449 0.778
Pd5 0.720 0.280 0.524
Pd6 0.895 0.105 0.744
```

Largest 12 diffraction maxima, most intense first, 10 to 90 degrees two-theta:
| d [Å] | Rel. int. |
| --- | --- |
| 2.714 | 100 |
| 2.728 | 68 |
| 2.296 | 41 |
| 2.517 | 27 |
| 1.394 | 22 |
| 2.501 | 22 |
| 1.486 | 20 |
| 1.696 | 18 |
| 2.277 | 17 |
| 2.819 | 15 |
| 1.617 | 12 |
| 1.493 | 11 |



No. 4
The following is a simulated powder X-ray diffraction pattern of TbNpPd6. It was derived from a DFT-relaxed cell (PBE, Alexandria), using Cu Kα (λ = 1.5418 Å).
Neutral-atom scattering factors, no anomalous dispersion.

Structural model:
```
data_TbNpPd6
_cell_length_a 4.130
_cell_length_b 4.130
_cell_length_c 8.270
_cell_angle_alpha 90.00
_cell_angle_beta 90.00
_cell_angle_gamma 90.00
_symmetry_space_group_name_H-M 'P 1'
_symmetry_Int_Tables_number 1
_symmetry_space_group_name_Hall 'P 1'
loop_
_atom_site_label
_atom_site_fract_x
_atom_site_fract_y
_atom_site_fract_z
Tb1 0.000 0.000 0.000
Np1 0.000 0.000 0.500
Pd1 0.000 0.500 0.254
Pd2 0.000 0.500 0.746
Pd3 0.500 0.000 0.254
Pd4 0.500 0.000 0.746
Pd5 0.500 0.500 0.000
Pd6 0.500 0.500 0.500
```

Largest 12 diffraction maxima, most intense first, 10 to 90 degrees two-theta:
| d [Å] | Rel. int. |
| --- | --- |
| 2.385 | 100 |
| 2.066 | 49 |
| 1.246 | 37 |
| 1.461 | 32 |
| 1.193 | 11 |
| 4.132 | 8 |
| 2.921 | 7 |
| 1.848 | 4 |
| 1.687 | 3 |
| 8.270 | 3 |
| 1.377 | 2 |
| 1.104 | 2 |



No. 5
The following is a simulated powder X-ray diffraction pattern of Tb2NpPd9. It was derived from a DFT-relaxed cell (PBE, Alexandria), using Cu Kα (λ = 1.5418 Å).
Neutral-atom scattering factors, no anomalous dispersion.

Structural model:
```
data_Tb2NpPd9
_cell_length_a 4.128
_cell_length_b 4.128
_cell_length_c 12.403
_cell_angle_alpha 90.00
_cell_angle_beta 90.00
_cell_angle_gamma 90.00
_symmetry_space_group_name_H-M 'P 1'
_symmetry_Int_Tables_number 1
_symmetry_space_group_name_Hall 'P 1'
loop_
_atom_site_label
_atom_site_fract_x
_atom_site_fract_y
_atom_site_fract_z
Tb1 0.000 0.000 0.164
Tb2 0.000 0.000 0.836
Np1 0.000 0.000 0.500
Pd1 0.000 0.500 0.000
Pd2 0.000 0.500 0.338
Pd3 0.000 0.500 0.662
Pd4 0.500 0.000 0.000
Pd5 0.500 0.000 0.338
Pd6 0.500 0.000 0.662
Pd7 0.500 0.500 0.168
Pd8 0.500 0.500 0.500
Pd9 0.500 0.500 0.832
```

Largest 12 diffraction maxima, most intense first, 10 to 90 degrees two-theta:
| d [Å] | Rel. int. |
| --- | --- |
| 2.385 | 100 |
| 2.065 | 49 |
| 1.245 | 37 |
| 1.460 | 32 |
| 1.192 | 11 |
| 4.130 | 6 |
| 2.921 | 5 |
| 1.847 | 3 |
| 1.686 | 2 |
| 1.104 | 1 |
| 6.202 | 1 |
| 1.377 | 1 |



No. 6
The following is a simulated powder X-ray diffraction pattern of Tb3NpPd12. It was derived from a DFT-relaxed cell (PBE, Alexandria), using Cu Kα (λ = 1.5418 Å).
Neutral-atom scattering factors, no anomalous dispersion.

Structural model:
```
data_Tb3NpPd12
_cell_length_a 4.132
_cell_length_b 4.132
_cell_length_c 16.523
_cell_angle_alpha 90.00
_cell_angle_beta 90.00
_cell_angle_gamma 90.00
_symmetry_space_group_name_H-M 'P 1'
_symmetry_Int_Tables_number 1
_symmetry_space_group_name_Hall 'P 1'
loop_
_atom_site_label
_atom_site_fract_x
_atom_site_fract_y
_atom_site_fract_z
Tb1 0.000 0.000 0.000
Tb2 0.000 0.000 0.248
Tb3 0.000 0.000 0.752
Np1 0.000 0.000 0.500
Pd1 0.000 0.500 0.126
Pd2 0.000 0.500 0.378
Pd3 0.000 0.500 0.622
Pd4 0.000 0.500 0.874
Pd5 0.500 0.000 0.126
Pd6 0.500 0.000 0.378
Pd7 0.500 0.000 0.622
Pd8 0.500 0.000 0.874
Pd9 0.500 0.500 0.000
Pd10 0.500 0.500 0.251
Pd11 0.500 0.500 0.500
Pd12 0.500 0.500 0.749
```

Largest 12 diffraction maxima, most intense first, 10 to 90 degrees two-theta:
| d [Å] | Rel. int. |
| --- | --- |
| 2.385 | 100 |
| 2.066 | 49 |
| 1.246 | 37 |
| 1.461 | 32 |
| 1.193 | 11 |
| 4.132 | 5 |
| 2.922 | 5 |
| 1.848 | 3 |
| 1.687 | 2 |
| 1.377 | 1 |
| 1.104 | 1 |
| 1.307 | 1 |



No. 7
The following is a simulated powder X-ray diffraction pattern of Np4Te8Pd3. It was derived from a DFT-relaxed cell (PBE, Alexandria), using Cu Kα (λ = 1.5418 Å).
Neutral-atom scattering factors, no anomalous dispersion.

Structural model:
```
data_Np4Te8Pd3
_cell_length_a 4.484
_cell_length_b 4.484
_cell_length_c 18.897
_cell_angle_alpha 90.00
_cell_angle_beta 90.00
_cell_angle_gamma 90.00
_symmetry_space_group_name_H-M 'P 1'
_symmetry_Int_Tables_number 1
_symmetry_space_group_name_Hall 'P 1'
loop_
_atom_site_label
_atom_site_fract_x
_atom_site_fract_y
_atom_site_fract_z
Np1 0.000 0.500 0.121
Np2 0.000 0.500 0.629
Np3 0.500 0.000 0.371
Np4 0.500 0.000 0.879
Te1 0.000 0.000 0.246
Te2 0.000 0.000 0.754
Te3 0.000 0.500 0.411
Te4 0.000 0.500 0.920
Te5 0.500 0.000 0.080
Te6 0.500 0.000 0.589
Te7 0.500 0.500 0.247
Te8 0.500 0.500 0.753
Pd1 0.000 0.000 0.000
Pd2 0.000 0.000 0.500
Pd3 0.500 0.500 0.500
```

Largest 12 diffraction maxima, most intense first, 10 to 90 degrees two-theta:
| d [Å] | Rel. int. |
| --- | --- |
| 2.633 | 100 |
| 2.242 | 40 |
| 1.358 | 26 |
| 2.577 | 19 |
| 4.051 | 18 |
| 1.585 | 14 |
| 1.626 | 13 |
| 1.741 | 13 |
| 1.375 | 12 |
| 1.691 | 11 |
| 2.362 | 10 |
| 3.252 | 9 |



No. 8
The following is a simulated powder X-ray diffraction pattern of NpTiPd. It was derived from a DFT-relaxed cell (PBE, Alexandria), using Cu Kα (λ = 1.5418 Å).
Neutral-atom scattering factors, no anomalous dispersion.

Structural model:
```
data_NpTiPd
_cell_length_a 3.556
_cell_length_b 3.556
_cell_length_c 8.176
_cell_angle_alpha 90.00
_cell_angle_beta 90.00
_cell_angle_gamma 90.00
_symmetry_space_group_name_H-M 'P 1'
_symmetry_Int_Tables_number 1
_symmetry_space_group_name_Hall 'P 1'
loop_
_atom_site_label
_atom_site_fract_x
_atom_site_fract_y
_atom_site_fract_z
Np1 0.250 0.750 0.000
Np2 0.750 0.250 0.000
Ti1 0.250 0.250 0.280
Ti2 0.750 0.750 0.720
Pd1 0.250 0.250 0.609
Pd2 0.750 0.750 0.391
```

Largest 12 diffraction maxima, most intense first, 10 to 90 degrees two-theta:
| d [Å] | Rel. int. |
| --- | --- |
| 2.403 | 100 |
| 8.176 | 77 |
| 2.142 | 44 |
| 4.088 | 40 |
| 2.725 | 32 |
| 1.778 | 29 |
| 1.586 | 24 |
| 1.489 | 20 |
| 1.114 | 19 |
| 1.630 | 13 |
| 2.163 | 13 |
| 1.848 | 11 |



No. 9
The following is a simulated powder X-ray diffraction pattern of NpTi3Pd12. It was derived from a DFT-relaxed cell (PBE, Alexandria), using Cu Kα (λ = 1.5418 Å).
Neutral-atom scattering factors, no anomalous dispersion.

Structural model:
```
data_NpTi3Pd12
_cell_length_a 3.986
_cell_length_b 3.986
_cell_length_c 15.936
_cell_angle_alpha 90.00
_cell_angle_beta 90.00
_cell_angle_gamma 90.00
_symmetry_space_group_name_H-M 'P 1'
_symmetry_Int_Tables_number 1
_symmetry_space_group_name_Hall 'P 1'
loop_
_atom_site_label
_atom_site_fract_x
_atom_site_fract_y
_atom_site_fract_z
Np1 0.000 0.000 0.000
Ti1 0.000 0.000 0.256
Ti2 0.000 0.000 0.500
Ti3 0.000 0.000 0.744
Pd1 0.000 0.500 0.138
Pd2 0.000 0.500 0.379
Pd3 0.000 0.500 0.621
Pd4 0.000 0.500 0.862
Pd5 0.500 0.000 0.138
Pd6 0.500 0.000 0.379
Pd7 0.500 0.000 0.621
Pd8 0.500 0.000 0.862
Pd9 0.500 0.500 0.000
Pd10 0.500 0.500 0.258
Pd11 0.500 0.500 0.500
Pd12 0.500 0.500 0.742
```

Largest 12 diffraction maxima, most intense first, 10 to 90 degrees two-theta:
| d [Å] | Rel. int. |
| --- | --- |
| 2.301 | 100 |
| 1.993 | 48 |
| 1.202 | 33 |
| 1.409 | 29 |
| 1.150 | 10 |
| 2.489 | 7 |
| 3.867 | 5 |
| 2.657 | 4 |
| 3.188 | 4 |
| 3.565 | 4 |
| 1.499 | 4 |
| 7.968 | 3 |



No. 10
The following is a simulated powder X-ray diffraction pattern of NpVPd14. It was derived from a DFT-relaxed cell (PBE, Alexandria), using Cu Kα (λ = 1.5418 Å).
Neutral-atom scattering factors, no anomalous dispersion.

Structural model:
```
data_NpVPd14
_cell_length_a 5.703
_cell_length_b 5.703
_cell_length_c 7.751
_cell_angle_alpha 90.00
_cell_angle_beta 90.00
_cell_angle_gamma 90.00
_symmetry_space_group_name_H-M 'P 1'
_symmetry_Int_Tables_number 1
_symmetry_space_group_name_Hall 'P 1'
loop_
_atom_site_label
_atom_site_fract_x
_atom_site_fract_y
_atom_site_fract_z
Np1 0.000 0.000 0.000
V1 0.500 0.500 0.000
Pd1 0.000 0.000 0.500
Pd2 0.000 0.500 0.000
Pd3 0.000 0.500 0.500
Pd4 0.255 0.255 0.245
Pd5 0.255 0.255 0.755
Pd6 0.255 0.745 0.245
Pd7 0.255 0.745 0.755
Pd8 0.500 0.000 0.000
Pd9 0.500 0.000 0.500
Pd10 0.500 0.500 0.500
Pd11 0.745 0.255 0.245
Pd12 0.745 0.255 0.755
Pd13 0.745 0.745 0.245
Pd14 0.745 0.745 0.755
```

Largest 12 diffraction maxima, most intense first, 10 to 90 degrees two-theta:
| d [Å] | Rel. int. |
| --- | --- |
| 2.297 | 100 |
| 2.016 | 34 |
| 1.211 | 25 |
| 1.397 | 20 |
| 1.938 | 15 |
| 1.177 | 11 |
| 1.426 | 11 |
| 1.148 | 11 |
| 4.594 | 6 |
| 5.703 | 3 |
| 3.205 | 3 |
| 2.423 | 2 |



No. 11
The following is a simulated powder X-ray diffraction pattern of NpVPd6. It was derived from a DFT-relaxed cell (PBE, Alexandria), using Cu Kα (λ = 1.5418 Å).
Neutral-atom scattering factors, no anomalous dispersion.

Structural model:
```
data_NpVPd6
_cell_length_a 4.037
_cell_length_b 4.037
_cell_length_c 8.014
_cell_angle_alpha 90.00
_cell_angle_beta 90.00
_cell_angle_gamma 90.00
_symmetry_space_group_name_H-M 'P 1'
_symmetry_Int_Tables_number 1
_symmetry_space_group_name_Hall 'P 1'
loop_
_atom_site_label
_atom_site_fract_x
_atom_site_fract_y
_atom_site_fract_z
Np1 0.000 0.000 0.000
V1 0.000 0.000 0.500
Pd1 0.000 0.500 0.265
Pd2 0.000 0.500 0.735
Pd3 0.500 0.000 0.265
Pd4 0.500 0.000 0.735
Pd5 0.500 0.500 0.000
Pd6 0.500 0.500 0.500
```

Largest 12 diffraction maxima, most intense first, 10 to 90 degrees two-theta:
| d [Å] | Rel. int. |
| --- | --- |
| 2.325 | 100 |
| 2.018 | 33 |
| 1.216 | 25 |
| 1.422 | 20 |
| 2.004 | 15 |
| 3.605 | 12 |
| 1.427 | 11 |
| 1.210 | 11 |
| 1.162 | 10 |
| 8.014 | 10 |
| 2.689 | 9 |
| 2.671 | 4 |



No. 12
The following is a simulated powder X-ray diffraction pattern of YNpPd6. It was derived from a DFT-relaxed cell (PBE, Alexandria), using Cu Kα (λ = 1.5418 Å).
Neutral-atom scattering factors, no anomalous dispersion.

Structural model:
```
data_YNpPd6
_cell_length_a 4.131
_cell_length_b 4.131
_cell_length_c 8.269
_cell_angle_alpha 90.00
_cell_angle_beta 90.00
_cell_angle_gamma 90.00
_symmetry_space_group_name_H-M 'P 1'
_symmetry_Int_Tables_number 1
_symmetry_space_group_name_Hall 'P 1'
loop_
_atom_site_label
_atom_site_fract_x
_atom_site_fract_y
_atom_site_fract_z
Y1 0.000 0.000 0.000
Np1 0.000 0.000 0.500
Pd1 0.000 0.500 0.254
Pd2 0.000 0.500 0.746
Pd3 0.500 0.000 0.254
Pd4 0.500 0.000 0.746
Pd5 0.500 0.500 0.000
Pd6 0.500 0.500 0.500
```

Largest 12 diffraction maxima, most intense first, 10 to 90 degrees two-theta:
| d [Å] | Rel. int. |
| --- | --- |
| 2.386 | 100 |
| 2.066 | 49 |
| 1.246 | 37 |
| 1.461 | 32 |
| 1.193 | 11 |
| 8.269 | 11 |
| 3.695 | 6 |
| 2.004 | 3 |
| 4.132 | 3 |
| 2.754 | 3 |
| 2.922 | 3 |
| 1.803 | 2 |